# 1
For Tb8PrTh4, the PBE geometry in Alexandria gives the theoretical X-ray powder pattern in this record (a wavelength of 1.5418 Å).
No peak broadening, texture or thermal motion is included.

```
data_Tb8PrTh4
_space_group_name_H-M_alt 'R -3 m'
_space_group_IT_number 166
_space_group_name_Hall '-R 3 2"'
_cell_length_a 7.4023
_cell_length_b 7.4023
_cell_length_c 26.8830
_cell_angle_alpha 90.00
_cell_angle_beta 90.00
_cell_angle_gamma 120.00
loop_
_atom_site_label
_atom_site_type_symbol
_atom_site_fract_x
_atom_site_fract_y
_atom_site_fract_z
Tb1 Tb 0.0000 0.0000 0.2220
Tb2 Tb 0.0400 0.5200 0.7697
Pr1 Pr 0.0000 0.0000 0.5000
Th1 Th 0.0000 0.0000 0.0000
Th2 Th 0.0000 0.5000 0.0000
```

Main lines, low angle first (5 to 70 degrees two-theta):
- 28.04 deg, I = 26, hkl 0 2 1
- 29.91 deg, I = 32, hkl 0 0 9
- 30.91 deg, I = 100, hkl 0 2 4
- 32.52 deg, I = 47, hkl 2 0 5
- 38.83 deg, I = 32, hkl 2 0 8
- 49.24 deg, I = 30, hkl 2 2 0
- 52.67 deg, I = 20, hkl 0 2 13
- 58.69 deg, I = 25, hkl 2 2 9



# 2
For Tb6PrTh4, the PBE geometry in Alexandria gives the theoretical X-ray powder pattern in this record (a wavelength of 1.5418 Å).
No peak broadening, texture or thermal motion is included.

```
data_Tb6PrTh4
_space_group_name_H-M_alt 'I m m m'
_space_group_IT_number 71
_space_group_name_Hall '-I 2 2'
_cell_length_a 3.450
_cell_length_b 5.912
_cell_length_c 35.783
_cell_angle_alpha 90.00
_cell_angle_beta 90.00
_cell_angle_gamma 90.00
loop_
_atom_site_label
_atom_site_type_symbol
_atom_site_fract_x
_atom_site_fract_y
_atom_site_fract_z
Tb1 Tb 0.000 0.000 0.097
Tb2 Tb 0.000 0.000 0.267
Tb3 Tb 0.000 0.000 0.368
Pr1 Pr 0.000 0.500 0.500
Th1 Th 0.000 0.500 0.045
Th2 Th 0.000 0.500 0.317
```

Main lines, low angle first (5 to 70 degrees two-theta):
- 26.90 deg, I = 29, hkl 1 0 3
- 30.24 deg, I = 59, hkl 0 2 0
- 31.39 deg, I = 100, hkl 0 1 11
- 33.62 deg, I = 37, hkl 1 1 6
- 36.22 deg, I = 47, hkl 1 1 8
- 40.91 deg, I = 20, hkl 1 2 3
- 54.44 deg, I = 22, hkl 0 3 11
- 62.96 deg, I = 35, hkl 0 4 0



# 3
For Tb5Pr2Th4, the PBE geometry in Alexandria gives the theoretical X-ray powder pattern in this record (a wavelength of 1.5418 Å).
No peak broadening, texture or thermal motion is included.

```
data_Tb5Pr2Th4
_space_group_name_H-M_alt 'C 1 2/m 1'
_space_group_IT_number 12
_cell_length_a 24.314
_cell_length_b 3.505
_cell_length_c 8.675
_cell_angle_alpha 90.00
_cell_angle_beta 94.54
_cell_angle_gamma 90.00
loop_
_space_group_symop_operation_xyz
'x,y,z'
'-x,-y,-z'
'-x,y,-z'
'x,-y,z'
'x+1/2,y+1/2,z'
'-x+1/2,-y+1/2,-z'
'-x+1/2,y+1/2,-z'
'x+1/2,-y+1/2,z'
loop_
_atom_site_label
_atom_site_type_symbol
_atom_site_fract_x
_atom_site_fract_y
_atom_site_fract_z
Tb1 Tb 0.000 0.000 0.000
Tb2 Tb 0.129 0.500 0.040
Tb3 Tb 0.184 0.500 0.472
Pr1 Pr 0.226 0.000 0.824
Th1 Th 0.044 0.500 0.350
Th2 Th 0.084 0.000 0.683
```

Main lines, low angle first (5 to 70 degrees two-theta):
- 27.81 deg, I = 52, hkl 1 1 1
- 30.48 deg, I = 100, hkl 8 0 -1
- 31.32 deg, I = 71, hkl 2 0 -3
- 31.48 deg, I = 69, hkl 6 0 2
- 33.67 deg, I = 98, hkl 5 1 1
- 34.23 deg, I = 90, hkl 3 1 -2
- 51.69 deg, I = 45, hkl 3 1 4
- 62.20 deg, I = 40, hkl 2 2 -3



# 4
For Tb6PrTh8, the PBE geometry in Alexandria gives the theoretical X-ray powder pattern in this record (a wavelength of 1.5418 Å).
No peak broadening, texture or thermal motion is included.

```
data_Tb6PrTh8
_space_group_name_H-M_alt 'R -3'
_space_group_IT_number 148
_space_group_name_Hall '-R 3'
_cell_length_a 8.8511
_cell_length_b 8.8511
_cell_length_c 21.6128
_cell_angle_alpha 90.00
_cell_angle_beta 90.00
_cell_angle_gamma 120.00
loop_
_atom_site_label
_atom_site_type_symbol
_atom_site_fract_x
_atom_site_fract_y
_atom_site_fract_z
Tb1 Tb 0.0181 0.2413 0.2088
Pr1 Pr 0.0000 0.0000 0.5000
Th1 Th 0.0000 0.0000 0.0771
Th2 Th 0.0559 0.7989 0.6364
```

Main lines, low angle first (5 to 70 degrees two-theta):
- 31.18 deg, I = 100, hkl 3 -1 1
- 32.01 deg, I = 61, hkl 1 2 2
- 37.36 deg, I = 13, hkl 3 -2 5
- 45.90 deg, I = 11, hkl 3 -2 8
- 52.24 deg, I = 11, hkl 4 -3 7
- 54.90 deg, I = 19, hkl 4 1 0
- 56.50 deg, I = 21, hkl 4 0 7
- 64.63 deg, I = 7, hkl 2 1 13



# 5
For Tb4Pr8Th, the PBE geometry in Alexandria gives the theoretical X-ray powder pattern in this record (a wavelength of 1.5418 Å).
No peak broadening, texture or thermal motion is included.

```
data_Tb4Pr8Th
_space_group_name_H-M_alt 'P 1'
_space_group_IT_number 1
_cell_length_a 6.239
_cell_length_b 6.875
_cell_length_c 12.213
_cell_angle_alpha 86.62
_cell_angle_beta 75.47
_cell_angle_gamma 64.10
loop_
_space_group_symop_operation_xyz
'x,y,z'
loop_
_atom_site_label
_atom_site_type_symbol
_atom_site_fract_x
_atom_site_fract_y
_atom_site_fract_z
Tb1 Tb 0.000 0.000 0.000
Tb2 Tb 0.013 0.300 0.384
Tb3 Tb 0.398 0.778 0.459
Tb4 Tb 0.628 0.526 0.935
Pr1 Pr 0.090 0.460 0.069
Pr2 Pr 0.223 0.605 0.768
Pr3 Pr 0.469 0.930 0.148
Pr4 Pr 0.529 0.046 0.843
Pr5 Pr 0.557 0.386 0.233
Pr6 Pr 0.849 0.716 0.591
Pr7 Pr 0.932 0.843 0.303
Pr8 Pr 0.972 0.187 0.684
Th1 Th 0.478 0.243 0.521
```

Main lines, low angle first (5 to 70 degrees two-theta):
- 28.62 deg, I = 36, hkl 2 1 1
- 30.35 deg, I = 67, hkl 0 2 1
- 31.27 deg, I = 100, hkl 1 -1 3
- 31.55 deg, I = 97, hkl 1 1 4
- 32.41 deg, I = 18, hkl 2 2 1
- 32.98 deg, I = 16, hkl 2 0 0
- 47.70 deg, I = 17, hkl 0 1 -6
- 51.97 deg, I = 15, hkl 3 2 -2



# 6
For TbPr3Th2, the PBE geometry in Alexandria gives the theoretical X-ray powder pattern in this record (a wavelength of 1.5418 Å).
No peak broadening, texture or thermal motion is included.

```
data_TbPr3Th2
_space_group_name_H-M_alt 'C m m m'
_space_group_IT_number 65
_space_group_name_Hall '-C 2 2'
_cell_length_a 5.134
_cell_length_b 15.361
_cell_length_c 5.188
_cell_angle_alpha 90.00
_cell_angle_beta 90.00
_cell_angle_gamma 90.00
loop_
_atom_site_label
_atom_site_type_symbol
_atom_site_fract_x
_atom_site_fract_y
_atom_site_fract_z
Tb1 Tb 0.000 0.000 0.000
Pr1 Pr 0.000 0.331 0.000
Pr2 Pr 0.000 0.500 0.500
Th1 Th 0.000 0.168 0.500
```

Main lines, low angle first (5 to 70 degrees two-theta):
- 30.07 deg, I = 100, hkl 1 3 1
- 34.58 deg, I = 17, hkl 0 0 2
- 35.00 deg, I = 34, hkl 2 0 0
- 50.02 deg, I = 25, hkl 2 0 2
- 59.19 deg, I = 15, hkl 1 3 3
- 59.69 deg, I = 15, hkl 3 3 1
- 59.82 deg, I = 14, hkl 1 9 1
- 62.51 deg, I = 13, hkl 2 6 2